# Y2Ge2O7
Computed powder XRD pattern, Cu Ka. Input: DFT lattice parameters and positions (PBE).
Kinematic intensities with the Lorentz-polarization factor, no thermal factor.

Principal peaks in the range 10° ≤ 2θ ≤ 80°, low angle first:
2.898 Å, I 100; 2.510 Å, I 26; 1.775 Å, I 49; 1.513 Å, I 40; 1.449 Å, I 9; 1.255 Å, I 7

Structure:
a b c (Å): 7.098 7.098 7.098
angles (deg): 60.00 60.00 60.00
Fractional coordinates of all 22 atoms:
Y (0.000, 0.000, 0.000)
Y (0.000, 0.000, 0.500)
Y (0.000, 0.500, 0.000)
Y (0.500, 0.000, 0.000)
Ge (0.000, 0.500, 0.500)
Ge (0.500, 0.000, 0.500)
Ge (0.500, 0.500, 0.000)
Ge (0.500, 0.500, 0.500)
O (0.125, 0.125, 0.125)
O (0.173, 0.173, 0.577)
O (0.173, 0.577, 0.173)
O (0.173, 0.577, 0.577)
O (0.423, 0.423, 0.827)
O (0.423, 0.827, 0.423)
O (0.423, 0.827, 0.827)
O (0.577, 0.173, 0.173)
O (0.577, 0.173, 0.577)
O (0.577, 0.577, 0.173)
O (0.827, 0.423, 0.423)
O (0.827, 0.423, 0.827)
O (0.827, 0.827, 0.423)
O (0.875, 0.875, 0.875)